The following is a calculated PXRD pattern of BaLi4Pb12. It was derived from the PBE geometry in Alexandria, using a wavelength of 1.5418 Å.

Cell and atoms:
```
BaLi4Pb12
1.0
-5.0164 5.0164 5.0164
5.0164 -5.0164 5.0164
5.0164 5.0164 -5.0164
Ba Li Pb
1 4 12
Cartesian
0.0000 0.0000 0.0000
2.5082 2.5082 -2.5082
2.5082 -2.5082 2.5082
-2.5082 2.5082 2.5082
2.5082 2.5082 2.5082
5.0164 3.1457 -1.5657
3.4507 0.0000 1.8707
6.5821 0.0000 1.8707
1.8707 3.4507 0.0000
3.1457 -1.5657 5.0164
5.0164 3.1457 1.5657
0.0000 1.8707 3.4507
1.8707 6.5821 0.0000
3.1457 1.5657 5.0164
-1.5657 5.0164 3.1457
1.5657 5.0164 3.1457
0.0000 1.8707 6.5821
```

Most intense lines, 2θ = 10–90°, low angle first:
two_theta, d (Å), Rel. int.
28.13, 3.173, 100
33.42, 2.681, 42
42.25, 2.139, 16
46.13, 1.968, 18
53.24, 1.721, 17
54.91, 1.672, 15
56.55, 1.628, 17
62.82, 1.479, 15


The following is a calculated PXRD pattern of BaLi2Pb8. It was derived from the PBE geometry in Alexandria, using a wavelength of 1.5418 Å.

Cell and atoms:
```
BaLi2Pb8
1.0
6.7468 0.0000 0.0000
0.0000 6.7468 0.0000
0.0000 0.0000 8.7077
Ba Li Pb
1 2 8
Cartesian
0.0000 0.0000 0.0000
0.0000 3.3734 4.3539
3.3734 0.0000 4.3539
1.7203 1.7203 2.7036
1.7203 1.7203 6.0041
1.7203 5.0264 2.7036
1.7203 5.0264 6.0041
5.0264 1.7203 2.7036
5.0264 1.7203 6.0041
5.0264 5.0264 2.7036
5.0264 5.0264 6.0041
```

Most intense lines, 2θ = 10–90°, low angle first:
two_theta, d (Å), Rel. int.
10.16, 8.708, 44
20.40, 4.354, 45
26.42, 3.373, 100
28.37, 3.146, 40
33.61, 2.667, 87
37.71, 2.385, 57
41.02, 2.200, 54
49.46, 1.843, 44